The following is a theoretical X-ray diffraction stick pattern of Mg3In4Ni8. It was derived from DFT lattice parameters and positions (GGA-PBE), using Cu Kα (λ = 1.5418 Å).
No peak broadening, texture or thermal motion is included.

Most intense lines, 10 to 90 degrees two-theta, low angle first:
2θ = 12.28°, d 7.206, I = 28, hkl 1 0 0; 2θ = 24.71°, d 3.603, I = 29, hkl 2 0 0; 2θ = 27.24°, d 3.273, I = 32, hkl 2 0 1; 2θ = 39.23°, d 2.297, I = 18, hkl 3 0 1; 2θ = 40.34°, d 2.236, I = 28, hkl 2 1 2; 2θ = 42.78°, d 2.114, I = 100, hkl 2 0 3; 2θ = 43.50°, d 2.080, I = 65, hkl 2 2 0; 2θ = 49.62°, d 1.837, I = 16, hkl 2 2 2; 2θ = 62.66°, d 1.483, I = 15, hkl 4 0 3; 2θ = 79.36°, d 1.207, I = 17, hkl 4 2 3

Cell: 8.3213 8.3213 7.8302 Å, 90.00 90.00 120.00°
Atoms (fractional coordinates):
Mg 0.0309 0.5154 0.0000
Mg 0.4846 0.5154 0.0000
Mg 0.4846 0.9691 0.0000
Mg 0.5154 0.0309 0.5000
Mg 0.5154 0.4846 0.5000
Mg 0.9691 0.4846 0.5000
In 0.1803 0.3605 0.7346
In 0.1803 0.8197 0.7346
In 0.3333 0.6667 0.2416
In 0.3605 0.1803 0.2346
In 0.6395 0.8197 0.7346
In 0.6667 0.3333 0.7416
In 0.8197 0.1803 0.2346
In 0.8197 0.6395 0.2346
Ni 0.0000 0.0000 0.3115
Ni 0.0000 0.0000 0.8115
Ni 0.1125 0.2249 0.0551
Ni 0.1125 0.8875 0.0551
Ni 0.1675 0.3350 0.3811
Ni 0.1675 0.8325 0.3811
Ni 0.2249 0.1125 0.5551
Ni 0.3333 0.6667 0.5649
Ni 0.3350 0.1675 0.8811
Ni 0.6650 0.8325 0.3811
Ni 0.6667 0.3333 0.0649
Ni 0.7751 0.8875 0.0551
Ni 0.8325 0.1675 0.8811
Ni 0.8325 0.6650 0.8811
Ni 0.8875 0.1125 0.5551
Ni 0.8875 0.7751 0.5551